Starting from a crystal structure in Alexandria, relaxed with PBE, the X-ray powder pattern of ZnNi12As3 was simulated for Cu Kα (λ = 1.5418 Å).

Atomic structure:
Cell lengths 3.587, 3.587, 14.343 Å; angles 90.00, 90.00, 90.00 degrees
Space group P4/mmm (No. 123)
One atom of each set of equivalent atoms:
Zn1 0.000 0.000 0.000 (multiplicity 1)
Ni1 0.000 0.500 0.126 (multiplicity 4)
Ni2 0.000 0.500 0.376 (multiplicity 4)
Ni3 0.500 0.500 0.000 (multiplicity 1)
Ni4 0.500 0.500 0.254 (multiplicity 2)
Ni5 0.500 0.500 0.500 (multiplicity 1)
As1 0.000 0.000 0.243 (multiplicity 2)
As2 0.000 0.000 0.500 (multiplicity 1)

Most intense lines, 5 to 70 degrees two-theta, sorted by position:
- hkl 1 1 4, 2θ 43.7, rel. 100
- hkl 2 0 0, 2θ 50.9, rel. 47



Starting from a crystal structure in Alexandria, relaxed with PBE, the X-ray powder pattern of NpAs3O9 was simulated for Cu Kα (λ = 1.5418 Å).

Atomic structure:
Cell lengths 14.604, 7.724, 10.077 Å; angles 90.00, 125.17, 90.00 degrees
Space group Cc (No. 9)
One atom of each set of equivalent atoms:
Np1 0.000 0.215 0.000 (multiplicity 4)
As1 0.150 0.435 0.837 (multiplicity 4)
As2 0.266 0.036 0.791 (multiplicity 4)
As3 0.343 0.368 0.679 (multiplicity 4)
O1 0.050 0.339 0.862 (multiplicity 4)
O2 0.069 0.400 0.178 (multiplicity 4)
O3 0.139 0.029 0.119 (multiplicity 4)
O4 0.206 0.411 0.520 (multiplicity 4)
O5 0.261 0.149 0.926 (multiplicity 4)
O6 0.342 0.148 0.723 (multiplicity 4)
O7 0.345 0.150 0.365 (multiplicity 4)
O8 0.387 0.498 0.841 (multiplicity 4)
O9 0.440 0.392 0.638 (multiplicity 4)

Most intense lines, 5 to 70 degrees two-theta, sorted by position:
- hkl 1 1 -1, 2θ 14.5, rel. 49
- hkl 2 0 -2, 2θ 17.8, rel. 23
- hkl 1 1 1, 2θ 19.9, rel. 100
- hkl 3 1 -1, 2θ 21.7, rel. 22
- hkl 3 1 -2, 2θ 23.3, rel. 30
- hkl 4 0 -2, 2θ 24.8, rel. 20
- hkl 2 2 0, 2θ 27.5, rel. 29
- hkl 3 1 -3, 2θ 29.2, rel. 37
- hkl 0 2 2, 2θ 31.8, rel. 20
- hkl 2 0 2, 2θ 32.8, rel. 22



Starting from a crystal structure in Alexandria, relaxed with PBE, the X-ray powder pattern of NpAs3O12 was simulated for Cu Kα (λ = 1.5418 Å).

Atomic structure:
Cell lengths 8.4687, 8.4687, 24.4675 Å; angles 90.00, 90.00, 120.00 degrees
Space group R3c (No. 161, hexagonal axes)
One atom of each set of equivalent atoms:
Np1 0.0000 0.0000 0.0000 (multiplicity 6)
As1 0.0640 0.3813 0.0517 (multiplicity 18)
O1 0.1757 0.3870 0.8767 (multiplicity 18)
O2 0.1797 0.3821 0.5002 (multiplicity 18)
O3 0.1914 0.4531 0.7249 (multiplicity 18)
O4 0.2068 0.4541 0.1110 (multiplicity 18)

Most intense lines, 5 to 70 degrees two-theta, sorted by position:
- hkl 0 1 2, 2θ 14.1, rel. 100
- hkl 1 0 4, 2θ 18.9, rel. 23
- hkl 0 0 6, 2θ 21.8, rel. 15
- hkl 1 1 3, 2θ 23.7, rel. 26
- hkl 2 0 2, 2θ 25.4, rel. 15
- hkl 0 2 4, 2θ 28.4, rel. 23
- hkl 1 1 6, 2θ 30.4, rel. 31
- hkl 1 2 2, 2θ 33.1, rel. 18
- hkl 2 1 4, 2θ 35.6, rel. 20
- hkl 1 1 12, 2θ 49.7, rel. 17



Starting from a crystal structure in Alexandria, relaxed with PBE, the X-ray powder pattern of RbNpAs2O8 was simulated for Cu Kα (λ = 1.5418 Å).

Atomic structure:
Cell lengths 5.3385, 5.3385, 27.6087 Å; angles 90.00, 90.00, 120.00 degrees
Space group R-3 (No. 148, hexagonal axes)
One atom of each set of equivalent atoms:
Rb1 0.0000 0.0000 0.0000 (multiplicity 3)
Np1 0.0000 0.0000 0.5000 (multiplicity 3)
As1 0.0000 0.0000 0.2376 (multiplicity 6)
O1 0.0000 0.0000 0.2978 (multiplicity 6)
O2 0.0142 0.3877 0.8793 (multiplicity 18)

Most intense lines, 5 to 70 degrees two-theta, sorted by position:
- hkl 0 0 3, 2θ 9.6, rel. 46
- hkl 1 0 1, 2θ 19.5, rel. 13
- hkl 1 0 4, 2θ 23.2, rel. 100
- hkl 0 1 8, 2θ 32.4, rel. 28
- hkl 1 1 0, 2θ 33.6, rel. 33
- hkl 0 2 4, 2θ 41.2, rel. 18
- hkl 2 0 8, 2θ 47.3, rel. 12
- hkl 1 1 12, 2θ 52.5, rel. 18
- hkl 2 1 4, 2θ 54.1, rel. 18
- hkl 1 2 8, 2θ 59.3, rel. 11



Starting from a crystal structure in Alexandria, relaxed with PBE, the X-ray powder pattern of SrNpAsO5 was simulated for Cu Kα (λ = 1.5418 Å).

Atomic structure:
Cell lengths 8.062, 9.309, 8.230 Å; angles 90.00, 116.10, 90.00 degrees
Space group C2/c (No. 15)
One atom of each set of equivalent atoms:
Sr1 0.000 0.066 0.250 (multiplicity 4)
Np1 0.250 0.250 0.000 (multiplicity 4)
As1 0.000 0.444 0.250 (multiplicity 4)
O1 0.000 0.219 0.750 (multiplicity 4)
O2 0.068 0.312 0.135 (multiplicity 8)
O3 0.210 0.042 0.053 (multiplicity 8)

Most intense lines, 5 to 70 degrees two-theta, sorted by position:
- hkl 1 1 -1, 2θ 16.0, rel. 71
- hkl 1 1 1, 2θ 22.7, rel. 100
- hkl 2 0 -2, 2θ 25.8, rel. 60
- hkl 0 2 2, 2θ 30.9, rel. 44
- hkl 2 2 0, 2θ 31.3, rel. 38
- hkl 1 3 -1, 2θ 31.6, rel. 60
- hkl 1 1 -3, 2θ 34.3, rel. 23
- hkl 3 1 -1, 2θ 35.0, rel. 24
- hkl 3 3 -3, 2θ 49.3, rel. 48
- hkl 1 5 1, 2θ 53.7, rel. 29



Starting from a crystal structure in Alexandria, relaxed with PBE, the X-ray powder pattern of SrNpAs2O8 was simulated for Cu Kα (λ = 1.5418 Å).

Atomic structure:
Cell lengths 5.6676, 5.6676, 7.3382 Å; angles 90.00, 90.00, 120.00 degrees
Space group P-3 (No. 147)
One atom of each set of equivalent atoms:
Sr1 0.0000 0.0000 0.0000 (multiplicity 1)
Np1 0.0000 0.0000 0.5000 (multiplicity 1)
As1 0.3333 0.6667 0.7852 (multiplicity 2)
O1 0.1606 0.8244 0.7011 (multiplicity 6)
O2 0.3333 0.6667 0.0138 (multiplicity 2)

Most intense lines, 5 to 70 degrees two-theta, sorted by position:
- hkl 1 0 0, 2θ 18.1, rel. 74
- hkl 0 1 1, 2θ 21.8, rel. 100
- hkl 1 0 2, 2θ 30.4, rel. 97
- hkl 1 1 0, 2θ 31.6, rel. 76
- hkl 1 1 2, 2θ 40.2, rel. 20
- hkl 0 2 2, 2θ 44.4, rel. 48
- hkl 2 1 0, 2θ 49.2, rel. 23
- hkl 1 2 1, 2θ 50.8, rel. 20
- hkl 3 -1 2, 2θ 55.5, rel. 37
- hkl 2 -1 4, 2θ 60.1, rel. 21



Starting from a crystal structure in Alexandria, relaxed with PBE, the X-ray powder pattern of Np4AsP3 was simulated for Cu Kα (λ = 1.5418 Å).

Atomic structure:
Cell lengths 5.665, 5.665, 5.665 Å; angles 90.00, 90.00, 90.00 degrees
Space group Pm-3m (No. 221)
One atom of each set of equivalent atoms:
Np1 0.000 0.000 0.000 (multiplicity 1)
Np2 0.000 0.500 0.500 (multiplicity 3)
As1 0.500 0.500 0.500 (multiplicity 1)
P1 0.000 0.000 0.500 (multiplicity 3)

Most intense lines, 5 to 70 degrees two-theta, sorted by position:
- hkl 1 0 0, 2θ 15.6, rel. 1
- hkl 1 1 0, 2θ 22.2, rel. 1
- hkl 1 1 1, 2θ 27.3, rel. 90
- hkl 2 0 0, 2θ 31.6, rel. 100
- hkl 2 1 0, 2θ 35.4, rel. 1
- hkl 2 2 0, 2θ 45.3, rel. 75
- hkl 3 1 1, 2θ 53.7, rel. 45
- hkl 2 2 2, 2θ 56.3, rel. 27
- hkl 4 0 0, 2θ 66.0, rel. 12



Starting from a crystal structure in Alexandria, relaxed with PBE, the X-ray powder pattern of Np4As2PSe was simulated for Cu Kα (λ = 1.5418 Å).

Atomic structure:
Cell lengths 8.150, 8.159, 11.528 Å; angles 90.00, 90.00, 90.00 degrees
Space group F222 (No. 22)
One atom of each set of equivalent atoms:
Np1 0.000 0.000 0.245 (multiplicity 8)
Np2 0.250 0.250 0.501 (multiplicity 8)
As1 0.000 0.000 0.500 (multiplicity 4)
As2 0.250 0.250 0.750 (multiplicity 4)
P1 0.000 0.000 0.000 (multiplicity 4)
Se1 0.250 0.250 0.250 (multiplicity 4)

Most intense lines, 5 to 70 degrees two-theta, sorted by position:
- hkl 2 0 2, 2θ 26.8, rel. 58
- hkl 1 1 3, 2θ 27.9, rel. 1
- hkl 2 2 0, 2θ 31.0, rel. 100
- hkl 3 1 3, 2θ 42.2, rel. 1
- hkl 4 0 0, 2θ 44.4, rel. 75
- hkl 4 2 2, 2θ 52.7, rel. 29
- hkl 4 0 4, 2θ 55.2, rel. 27
- hkl 4 4 0, 2θ 64.7, rel. 12
- hkl 3 1 7, 2θ 67.5, rel. 1



Starting from a crystal structure in Alexandria, relaxed with PBE, the X-ray powder pattern of Np4As8Pd3 was simulated for Cu Kα (λ = 1.5418 Å).

Atomic structure:
Cell lengths 3.987, 3.987, 18.852 Å; angles 90.00, 90.00, 90.00 degrees
Space group P-4m2 (No. 115)
One atom of each set of equivalent atoms:
Np1 0.000 0.500 0.123 (multiplicity 2)
Np2 0.000 0.500 0.635 (multiplicity 2)
As1 0.000 0.000 0.244 (multiplicity 2)
As2 0.000 0.500 0.404 (multiplicity 2)
As3 0.000 0.500 0.916 (multiplicity 2)
As4 0.500 0.500 0.244 (multiplicity 2)
Pd1 0.000 0.000 0.000 (multiplicity 1)
Pd2 0.000 0.000 0.500 (multiplicity 1)
Pd3 0.500 0.500 0.500 (multiplicity 1)

Most intense lines, 5 to 70 degrees two-theta, sorted by position:
- hkl 1 0 2, 2θ 24.2, rel. 41
- hkl 1 0 6, 2θ 36.4, rel. 24
- hkl 1 1 4, 2θ 37.2, rel. 100
- hkl 0 0 8, 2θ 38.2, rel. 16
- hkl 2 0 0, 2θ 45.5, rel. 33
- hkl 2 1 2, 2θ 52.2, rel. 11
- hkl 1 0 10, 2θ 53.8, rel. 12
- hkl 2 1 6, 2θ 59.6, rel. 12
- hkl 2 0 8, 2θ 60.9, rel. 16
- hkl 2 2 0, 2θ 66.3, rel. 11



Starting from a crystal structure in Alexandria, relaxed with PBE, the X-ray powder pattern of Np4As7Pd5 was simulated for Cu Kα (λ = 1.5418 Å).

Atomic structure:
Cell lengths 5.601, 5.601, 19.414 Å; angles 90.00, 90.00, 90.00 degrees
Space group I-42m (No. 121)
One atom of each set of equivalent atoms:
Np1 0.249 0.249 0.117 (multiplicity 8)
As1 0.000 0.000 0.000 (multiplicity 2)
As2 0.000 0.500 0.000 (multiplicity 4)
As3 0.249 0.249 0.343 (multiplicity 8)
Pd1 0.000 0.000 0.250 (multiplicity 4)
Pd2 0.000 0.000 0.500 (multiplicity 2)
Pd3 0.000 0.500 0.250 (multiplicity 4)

Most intense lines, 5 to 70 degrees two-theta, sorted by position:
- hkl 1 1 2, 2θ 24.3, rel. 27
- hkl 1 1 4, 2θ 29.1, rel. 7
- hkl 1 1 6, 2θ 35.8, rel. 16
- hkl 2 0 4, 2θ 37.1, rel. 100
- hkl 1 1 8, 2θ 43.7, rel. 6
- hkl 2 2 0, 2θ 45.8, rel. 26
- hkl 1 1 10, 2θ 52.5, rel. 15
- hkl 3 1 6, 2θ 59.5, rel. 8
- hkl 2 2 8, 2θ 60.3, rel. 15
- hkl 4 0 0, 2θ 66.8, rel. 16



Starting from a crystal structure in Alexandria, relaxed with PBE, the X-ray powder pattern of Np3As4Pd7 was simulated for Cu Kα (λ = 1.5418 Å).

Atomic structure:
Cell lengths 15.618, 4.126, 9.712 Å; angles 90.00, 125.18, 90.00 degrees
Space group C2/m (No. 12)
One atom of each set of equivalent atoms:
Np1 0.000 0.000 0.000 (multiplicity 2)
Np2 0.183 0.500 0.680 (multiplicity 4)
As1 0.106 0.000 0.823 (multiplicity 4)
As2 0.155 0.500 0.244 (multiplicity 4)
Pd1 0.000 0.000 0.500 (multiplicity 2)
Pd2 0.014 0.500 0.304 (multiplicity 4)
Pd3 0.168 0.000 0.437 (multiplicity 4)
Pd4 0.188 0.500 0.017 (multiplicity 4)

Most intense lines, 5 to 70 degrees two-theta, sorted by position:
- hkl 3 1 0, 2θ 30.2, rel. 41
- hkl 1 1 2, 2θ 34.9, rel. 100
- hkl 3 1 -3, 2θ 35.3, rel. 46
- hkl 6 0 -3, 2θ 35.8, rel. 26
- hkl 5 1 -2, 2θ 36.1, rel. 84
- hkl 3 1 1, 2θ 36.4, rel. 31
- hkl 4 0 -4, 2θ 37.1, rel. 31
- hkl 5 1 -3, 2θ 38.7, rel. 26
- hkl 6 0 0, 2θ 42.5, rel. 34
- hkl 0 2 0, 2θ 43.9, rel. 58



Starting from a crystal structure in Alexandria, relaxed with PBE, the X-ray powder pattern of Pm2ZrNpAs4 was simulated for Cu Kα (λ = 1.5418 Å).

Atomic structure:
Cell lengths 7.084, 4.097, 7.127 Å; angles 90.00, 109.15, 90.00 degrees
Space group P2/m (No. 10)
One atom of each set of equivalent atoms:
Pm1 0.000 0.000 0.000 (multiplicity 1)
Pm2 0.500 0.500 0.000 (multiplicity 1)
Zr1 0.000 0.500 0.500 (multiplicity 1)
Np1 0.500 0.000 0.500 (multiplicity 1)
As1 0.238 0.000 0.731 (multiplicity 2)
As2 0.249 0.500 0.265 (multiplicity 2)

Most intense lines, 5 to 70 degrees two-theta, sorted by position:
- hkl 1 0 0, 2θ 13.2, rel. 8
- hkl 0 0 2, 2θ 26.5, rel. 8
- hkl 2 0 0, 2θ 26.6, rel. 24
- hkl 1 1 1, 2θ 30.8, rel. 100
- hkl 2 0 -2, 2θ 30.9, rel. 49
- hkl 2 0 2, 2θ 44.0, rel. 55
- hkl 0 2 0, 2θ 44.3, rel. 56
- hkl 0 0 4, 2θ 54.5, rel. 9
- hkl 2 2 -2, 2θ 54.9, rel. 29
- hkl 2 2 2, 2θ 64.1, rel. 12